1.
Starting from a structure optimized by DFT (GGA-PBE), the X-ray diffraction stick pattern of Mn2NbCo was simulated for CuKα.
Neutral-atom scattering factors, no anomalous dispersion.

abc: 6.1960 3.8000 8.7872
angles: 90.00 90.00 90.00
Atoms (fractional coordinates):
Mn (0.0535, 0.2500, 0.1202)
Mn (0.2191, 0.7500, 0.0367)
Mn (0.2809, 0.2500, 0.5367)
Mn (0.4465, 0.7500, 0.6202)
Mn (0.5535, 0.2500, 0.3798)
Mn (0.7191, 0.7500, 0.4633)
Mn (0.7809, 0.2500, 0.9633)
Mn (0.9465, 0.7500, 0.8798)
Nb (0.2434, 0.7500, 0.3215)
Nb (0.2566, 0.2500, 0.8215)
Nb (0.7434, 0.7500, 0.1785)
Nb (0.7566, 0.2500, 0.6785)
Co (0.0405, 0.7500, 0.6085)
Co (0.4595, 0.2500, 0.1085)
Co (0.5405, 0.7500, 0.8915)
Co (0.9595, 0.2500, 0.3915)

Peak list (8 most intense, 2θ = 10–90°, in order of rising 2θ)
two_theta, intensity
38.87, 100
41.57, 66
43.72, 25
47.88, 33
48.72, 17
49.06, 14
66.83, 14
80.59, 12


2.
Starting from a structure optimized by DFT (GGA-PBE), the X-ray diffraction stick pattern of MnNbCo10 was simulated for CuKα.
Neutral-atom scattering factors, no anomalous dispersion.

abc: 4.0079 4.6629 8.0275
angles: 90.00 90.00 90.00
Atoms (fractional coordinates):
Mn (0.0000, 0.0000, 0.0000)
Nb (0.0000, 0.5000, 0.5000)
Co (0.0000, 0.0000, 0.3283)
Co (0.0000, 0.0000, 0.6717)
Co (0.0000, 0.5000, 0.1630)
Co (0.0000, 0.5000, 0.8370)
Co (0.5000, 0.0000, 0.5000)
Co (0.5000, 0.2525, 0.2532)
Co (0.5000, 0.2525, 0.7468)
Co (0.5000, 0.5000, 0.0000)
Co (0.5000, 0.7475, 0.2532)
Co (0.5000, 0.7475, 0.7468)

Peak list (8 most intense, 2θ = 10–90°, in order of rising 2θ)
two_theta, intensity
31.50, 31
38.80, 19
44.98, 70
45.15, 100
45.25, 47
50.69, 26
65.69, 17
74.46, 17


3.
Starting from a structure optimized by DFT (GGA-PBE), the X-ray diffraction stick pattern of Mn3Nb2Co was simulated for CuKα.
Neutral-atom scattering factors, no anomalous dispersion.

abc: 4.8913 4.8913 4.8913
angles: 57.74 57.74 57.74
Atoms (fractional coordinates):
Mn (0.0000, 0.5000, 0.5000)
Mn (0.5000, 0.0000, 0.5000)
Mn (0.5000, 0.5000, 0.0000)
Nb (0.1222, 0.1222, 0.1222)
Nb (0.8778, 0.8778, 0.8778)
Co (0.5000, 0.5000, 0.5000)

Peak list (8 most intense, 2θ = 10–90°, in order of rising 2θ)
two_theta, intensity
36.79, 49
38.10, 51
43.22, 63
44.37, 100
44.94, 47
46.86, 39
72.39, 25
78.27, 24


- Number 1 is which compound?
  Mn2NbCo


- Number 3 is which compound?
  Mn3Nb2Co


- Number 2 is which compound?
  MnNbCo10